No. 1
For Th2Ni7, a crystal structure in OQMD, relaxed with GGA-PBE gives the computed powder XRD pattern in this record (Cu Kα (weighted mean of Kα1 and Kα2)).
Lines closer than 0.1° are merged.

Top 10 peaks for 2θ = 10–90°, low angle first:
hkl, Position (°2θ), I_rel
1 0 1, 20.93, 199
1 0 7, 32.76, 1000
1 1 0, 36.10, 654
2 0 1, 42.10, 376
1 1 6, 42.43, 965
2 1 7, 62.82, 320
1 1 14, 64.68, 221
2 0 13, 65.42, 163
3 0 6, 69.27, 218
2 2 0, 76.60, 218

Cell and atoms:
Lattice parameters (Å, degrees): 4.9756 4.9756 24.7510 90.00 90.00 120.00
Space group P6_3/mmc (No. 194)
One atom of each set of equivalent atoms:
Th 0.3333 0.6667 0.0320 x4
Th 0.3333 0.6667 0.1757 x4
Ni 0.0000 0.0000 0.0000 x2
Ni 0.0000 0.0000 0.1675 x4
Ni 0.1666 0.3331 0.7500 x6
Ni 0.1672 0.3343 0.5855 x12
Ni 0.3333 0.6667 0.6674 x4


No. 2
For Y2ThNi9, a crystal structure in OQMD, relaxed with GGA-PBE gives the computed powder XRD pattern in this record (Cu Kα (weighted mean of Kα1 and Kα2)).
Lines closer than 0.1° are merged.

Top 10 peaks for 2θ = 10–90°, low angle first:
hkl, Position (°2θ), I_rel
1 0 7, 32.97, 421
0 1 8, 35.99, 342
1 1 0, 36.09, 419
0 2 1, 42.08, 371
1 1 6, 42.55, 1000
2 0 2, 42.59, 179
0 0 12, 44.40, 189
3 0 0, 64.85, 195
3 0 6, 69.33, 223
2 2 0, 76.56, 191

Cell and atoms:
Lattice parameters (Å, degrees): 4.9776 4.9776 24.4842 90.00 90.00 120.00
Space group R-3m (No. 166, hexagonal axes)
One atom of each set of equivalent atoms:
Y 0.0000 0.0000 0.1401 x6
Th 0.0000 0.0000 0.0000 x3
Ni 0.0000 0.0000 0.3331 x6
Ni 0.0000 0.0000 0.5000 x3
Ni 0.9996 0.4998 0.0827 x18


No. 3
For TlNi, a crystal structure in OQMD, relaxed with GGA-PBE gives the computed powder XRD pattern in this record (Cu Kα (weighted mean of Kα1 and Kα2)).
Lines closer than 0.1° are merged.

Top 10 peaks for 2θ = 10–90°, low angle first:
hkl, Position (°2θ), I_rel
1 0 1, 27.47, 261
0 1 0, 27.76, 127
0 0 2, 39.09, 203
2 0 0, 39.43, 1000
2 0 2, 56.69, 137
3 0 1, 64.29, 81
1 1 3, 71.07, 136
3 1 1, 71.44, 138
2 2 0, 71.78, 68
2 2 2, 84.90, 87

Cell and atoms:
Lattice parameters (Å, degrees): 4.577 3.214 4.608 90.00 90.00 90.00
Space group Pmma (No. 51)
One atom of each set of equivalent atoms:
Tl 0.250 0.000 0.243 x2
Ni 0.250 0.500 0.736 x2